NdYZn2Sn2: simulated XRD peak list (Cu Ka), based on a structure optimized by DFT (GGA-PBE).

Main lines, in order of rising 2θ (2θ = 5–70°):
two_theta  Rel. int.  (hkl)
28.06  20.2  1 0 3
31.73  100.0  1 0 4
39.59  65.6  1 1 0
44.92  7.4  0 0 8
45.57  17.0  1 0 7
51.60  25.3  2 0 4
61.40  17.6  1 1 8
61.93  6.9  2 0 7
66.94  23.1  2 1 4
68.19  7.5  1 0 11

Atomic structure:
```
data_NdYZn2Sn2
_chemical_formula_sum 'Nd2 Y2 Zn4 Sn4'
_cell_length_a 4.5526
_cell_length_b 4.5526
_cell_length_c 16.1421
_cell_angle_alpha 90.00
_cell_angle_beta 90.00
_cell_angle_gamma 120.00
_symmetry_space_group_name_H-M 'P 63/m m c'
_symmetry_Int_Tables_number 194
_symmetry_space_group_name_Hall '-P 6c 2c'
loop_
_atom_site_label
_atom_site_fract_x
_atom_site_fract_y
_atom_site_fract_z
Nd1 0.0000 0.0000 0.2500
Y1 0.0000 0.0000 0.0000
Zn1 0.3333 0.6667 0.1555
Sn1 0.3333 0.6667 0.6118
```

Nd4Zn3Sn2: simulated XRD peak list (Cu Ka), based on a structure optimized by DFT (GGA-PBE).

Main lines, in order of rising 2θ (2θ = 5–70°):
two_theta  Rel. int.  (hkl)
20.13  19.4  1 1 0
30.97  17.3  1 2 0
32.60  80.9  1 1 1
34.70  43.4  2 0 1
35.24  100.0  3 0 0
40.45  31.7  1 2 1
48.76  17.5  2 2 1
52.12  17.4  0 0 2
58.90  29.8  3 2 1
64.48  39.3  3 0 2

Atomic structure:
```
data_Nd4Zn3Sn2
_chemical_formula_sum 'Nd4 Zn3 Sn2'
_cell_length_a 8.8215
_cell_length_b 8.8215
_cell_length_c 3.5107
_cell_angle_alpha 90.00
_cell_angle_beta 90.00
_cell_angle_gamma 120.00
_symmetry_space_group_name_H-M 'P -6'
_symmetry_Int_Tables_number 174
_symmetry_space_group_name_Hall 'P -6'
loop_
_atom_site_label
_atom_site_fract_x
_atom_site_fract_y
_atom_site_fract_z
Nd1 0.0000 0.0000 0.0000
Nd2 0.0355 0.3694 0.0000
Zn1 0.3226 0.2854 0.5000
Sn1 0.3333 0.6667 0.5000
Sn2 0.6667 0.3333 0.0000
```

NdZr6Sn4: simulated XRD peak list (Cu Ka), based on a structure optimized by DFT (GGA-PBE).

Main lines, in order of rising 2θ (2θ = 5–70°):
two_theta  Rel. int.  (hkl)
29.20  67.8  1 1 0
31.27  48.9  1 1 3
33.24  97.6  0 0 9
34.06  100.0  0 2 1
36.85  99.7  1 1 6
37.04  92.4  0 2 4
38.74  81.2  2 0 5
44.82  33.3  1 1 9
60.56  62.3  2 2 0
65.26  37.8  1 1 15

Atomic structure:
```
data_NdZr6Sn4
_chemical_formula_sum 'Nd3 Zr18 Sn12'
_cell_length_a 6.1161
_cell_length_b 6.1161
_cell_length_c 24.2598
_cell_angle_alpha 90.00
_cell_angle_beta 90.00
_cell_angle_gamma 120.00
_symmetry_space_group_name_H-M 'R -3 m'
_symmetry_Int_Tables_number 166
_symmetry_space_group_name_Hall '-R 3 2"'
loop_
_atom_site_label
_atom_site_fract_x
_atom_site_fract_y
_atom_site_fract_z
Nd1 0.0000 0.0000 0.0000
Zr1 0.0026 0.5013 0.1050
Sn1 0.0000 0.0000 0.1250
Sn2 0.0000 0.0000 0.3327
```

Nd2Te: simulated XRD peak list (Cu Ka), based on a structure optimized by DFT (GGA-PBE).

Main lines, in order of rising 2θ (2θ = 5–70°):
two_theta  Rel. int.  (hkl)
16.84  9.9  1 1 1
27.66  21.9  2 2 0
32.56  100.0  3 1 1
34.05  45.8  2 2 2
39.52  7.5  4 0 0
48.92  9.0  4 2 2
52.10  35.2  5 1 1
57.13  31.7  4 4 0
67.32  12.1  5 3 3
68.20  18.2  6 2 2

Atomic structure:
a = 9.121 Å, b = 9.121 Å, c = 9.121 Å
α = 90.00°, β = 90.00°, γ = 90.00°
Space group Fd-3m (No. 227, origin choice 2)
Unique sites:
Nd  0.000  0.000  0.000
Te  0.125  0.125  0.625

Nd3Te2: simulated XRD peak list (Cu Ka), based on a structure optimized by DFT (GGA-PBE).

Main lines, in order of rising 2θ (2θ = 5–70°):
two_theta  Rel. int.  (hkl)
26.50  44.7  1 1 2
29.42  45.7  2 1 2
30.01  37.8  4 0 1
30.46  100.0  0 1 3
31.12  51.7  3 1 1
31.35  48.3  1 1 3
33.01  32.9  2 0 4
33.73  58.2  3 1 2
39.05  34.6  4 1 2
42.27  46.5  0 2 0

Atomic structure:
```
data_Nd3Te2
_chemical_formula_sum 'Nd12 Te8'
_cell_length_a 12.289
_cell_length_b 4.277
_cell_length_c 12.096
_cell_angle_alpha 90.00
_cell_angle_beta 90.00
_cell_angle_gamma 90.00
_symmetry_space_group_name_H-M 'P n m a'
_symmetry_Int_Tables_number 62
_symmetry_space_group_name_Hall '-P 2ac 2n'
loop_
_atom_site_label
_atom_site_fract_x
_atom_site_fract_y
_atom_site_fract_z
Nd1 0.046 0.250 0.124
Nd2 0.120 0.750 0.564
Nd3 0.214 0.250 0.793
Te1 0.028 0.750 0.317
Te2 0.193 0.750 0.995
```

NdTe: simulated XRD peak list (Cu Ka), based on a structure optimized by DFT (GGA-PBE).

Main lines, in order of rising 2θ (2θ = 5–70°):
two_theta  Rel. int.  (hkl)
24.25  1.1  1 0 1
28.07  100.0  0 1 2
40.12  76.5  1 1 0
47.43  0.6  1 1 3
49.68  27.5  2 0 2
58.03  12.9  0 2 4
65.68  35.4  1 2 2

Atomic structure:
```
data_NdTe
_chemical_formula_sum 'Nd3 Te3'
_cell_length_a 4.4933
_cell_length_b 4.4933
_cell_length_c 11.0216
_cell_angle_alpha 90.00
_cell_angle_beta 90.00
_cell_angle_gamma 120.00
_symmetry_space_group_name_H-M 'P -3 m 1'
_symmetry_Int_Tables_number 164
_symmetry_space_group_name_Hall '-P 3 2"'
loop_
_atom_site_label
_atom_site_fract_x
_atom_site_fract_y
_atom_site_fract_z
Nd1 0.0000 0.0000 0.0000
Nd2 0.3333 0.6667 0.6662
Te1 0.0000 0.0000 0.5000
Te2 0.3333 0.6667 0.1669
```

Nd5Tl3: simulated XRD peak list (Cu Ka), based on a structure optimized by DFT (GGA-PBE).

Main lines, in order of rising 2θ (2θ = 5–70°):
two_theta  Rel. int.  (hkl)
28.63  19.3  0 0 2
29.32  47.3  3 2 1
31.80  71.8  4 2 0
32.04  60.7  2 0 2
32.66  100.0  4 1 1
35.14  30.8  2 2 2
40.74  22.1  4 0 2
41.25  28.2  5 2 1
53.32  25.3  4 1 3
60.82  24.8  6 4 2

Atomic structure:
```
data_Nd5Tl3
_chemical_formula_sum 'Nd20 Tl12'
_cell_length_a 12.586
_cell_length_b 12.586
_cell_length_c 6.236
_cell_angle_alpha 90.00
_cell_angle_beta 90.00
_cell_angle_gamma 90.00
_symmetry_space_group_name_H-M 'I 4/m c m'
_symmetry_Int_Tables_number 140
_symmetry_space_group_name_Hall '-I 4 2c'
loop_
_atom_site_label
_atom_site_fract_x
_atom_site_fract_y
_atom_site_fract_z
Nd1 0.000 0.500 0.250
Nd2 0.086 0.220 0.000
Tl1 0.000 0.000 0.250
Tl2 0.161 0.339 0.500
```

Nd3Tl5: simulated XRD peak list (Cu Ka), based on a structure optimized by DFT (GGA-PBE).

Main lines, in order of rising 2θ (2θ = 5–70°):
two_theta  Rel. int.  (hkl)
32.44  100.0  2 2 2
32.90  21.5  3 1 2
33.52  25.7  1 3 0
33.80  31.6  0 0 4
34.86  25.3  4 0 0
37.71  17.4  2 2 3
38.11  20.0  3 1 3
49.34  12.9  4 0 4
55.63  13.7  5 3 0
64.78  16.4  3 5 2

Atomic structure:
```
data_Nd3Tl5
_chemical_formula_sum 'Nd12 Tl20'
_cell_length_a 10.295
_cell_length_b 8.305
_cell_length_c 10.609
_cell_angle_alpha 90.00
_cell_angle_beta 90.00
_cell_angle_gamma 90.00
_symmetry_space_group_name_H-M 'C m c m'
_symmetry_Int_Tables_number 63
_symmetry_space_group_name_Hall '-C 2c 2'
loop_
_atom_site_label
_atom_site_fract_x
_atom_site_fract_y
_atom_site_fract_z
Nd1 0.000 0.121 0.250
Nd2 0.204 0.500 0.000
Tl1 0.000 0.194 0.542
Tl2 0.000 0.493 0.750
Tl3 0.219 0.209 0.750
```

NdY: simulated XRD peak list (Cu Ka), based on a structure optimized by DFT (GGA-PBE).

Main lines, in order of rising 2θ (2θ = 5–70°):
two_theta  Rel. int.  (hkl)
15.23  6.3  0 0 1
28.10  26.8  1 0 0
30.74  24.5  0 0 2
32.11  100.0  1 0 1
42.13  17.9  1 0 2
49.73  19.0  1 1 0
55.53  20.8  1 0 3
59.61  21.9  1 1 2
60.44  16.0  2 0 1
67.17  4.5  2 0 2

Atomic structure:
```
data_NdY
_chemical_formula_sum 'Nd1 Y1'
_cell_length_a 3.6669
_cell_length_b 3.6669
_cell_length_c 5.8174
_cell_angle_alpha 90.00
_cell_angle_beta 90.00
_cell_angle_gamma 120.00
_symmetry_space_group_name_H-M 'P -6 m 2'
_symmetry_Int_Tables_number 187
_symmetry_space_group_name_Hall 'P -6 2'
loop_
_atom_site_label
_atom_site_fract_x
_atom_site_fract_y
_atom_site_fract_z
Nd1 0.0000 0.0000 0.0000
Y1 0.6667 0.3333 0.5000
```

NdYZn6: simulated XRD peak list (Cu Ka), based on a structure optimized by DFT (GGA-PBE).

Main lines, in order of rising 2θ (2θ = 5–70°):
two_theta  Rel. int.  (hkl)
18.75  1.2  1 0 0
23.03  4.8  1 1 0
26.66  2.5  0 2 0
29.87  1.3  1 1 1
38.06  100.0  2 0 0
44.95  2.4  0 3 1
54.91  16.6  2 0 2
60.32  1.1  3 1 0
62.06  1.0  1 4 1
68.76  32.6  3 2 1

Atomic structure:
```
data_NdYZn6
_chemical_formula_sum 'Nd1 Y1 Zn6'
_cell_length_a 4.731
_cell_length_b 6.681
_cell_length_c 4.732
_cell_angle_alpha 90.00
_cell_angle_beta 90.00
_cell_angle_gamma 90.00
_symmetry_space_group_name_H-M 'P m m 2'
_symmetry_Int_Tables_number 25
_symmetry_space_group_name_Hall 'P 2 -2'
loop_
_atom_site_label
_atom_site_fract_x
_atom_site_fract_y
_atom_site_fract_z
Nd1 0.000 0.000 0.000
Y1 0.500 0.500 0.494
Zn1 0.000 0.257 0.501
Zn2 0.000 0.500 0.999
Zn3 0.500 0.000 0.496
Zn4 0.500 0.257 0.993
```

Nd3Zn22: simulated XRD peak list (Cu Ka), based on a structure optimized by DFT (GGA-PBE).

Main lines, in order of rising 2θ (2θ = 5–70°):
two_theta  Rel. int.  (hkl)
25.79  15.4  2 1 3
30.90  22.9  2 1 5
33.85  17.0  0 0 8
37.11  33.6  3 0 5
38.81  96.8  3 2 3
39.65  100.0  2 0 8
40.74  67.9  4 0 0
42.53  31.7  3 2 5
44.82  23.7  2 2 8
58.16  20.4  4 2 8

Atomic structure:
```
data_Nd3Zn22
_chemical_formula_sum 'Nd12 Zn88'
_cell_length_a 8.858
_cell_length_b 8.858
_cell_length_c 21.187
_cell_angle_alpha 90.00
_cell_angle_beta 90.00
_cell_angle_gamma 90.00
_symmetry_space_group_name_H-M 'I 41/a m d'
_symmetry_Int_Tables_number 141
loop_
_symmetry_equiv_pos_as_xyz
'x,y,z'
'-x,-y,-z'
'-y+1/4,x+3/4,z+1/4'
'y+1/4,-x+3/4,-z+1/4'
'-x+1/2,-y,z+1/2'
'x+1/2,y,-z+1/2'
'y+1/4,-x+1/4,z+3/4'
'-y+1/4,x+1/4,-z+3/4'
'x,-y,-z'
'-x,y,z'
'-y+1/4,-x+1/4,-z+3/4'
'y+1/4,x+1/4,z+3/4'
'-x+1/2,y,-z+1/2'
'x+1/2,-y,z+1/2'
'y+1/4,x+3/4,-z+1/4'
'-y+1/4,-x+3/4,z+1/4'
'x+1/2,y+1/2,z+1/2'
'-x+1/2,-y+1/2,-z+1/2'
'-y+3/4,x+1/4,z+3/4'
'y+3/4,-x+1/4,-z+3/4'
'-x,-y+1/2,z'
'x,y+1/2,-z'
'y+3/4,-x+3/4,z+1/4'
'-y+3/4,x+3/4,-z+1/4'
'x+1/2,-y+1/2,-z+1/2'
'-x+1/2,y+1/2,z+1/2'
'-y+3/4,-x+3/4,-z+1/4'
'y+3/4,x+3/4,z+1/4'
'-x,y+1/2,-z'
'x,-y+1/2,z'
'y+3/4,x+1/4,-z+3/4'
'-y+3/4,-x+1/4,z+3/4'
loop_
_atom_site_label
_atom_site_fract_x
_atom_site_fract_y
_atom_site_fract_z
Nd1 0.000 0.250 0.254
Nd2 0.000 0.250 0.875
Zn1 0.000 0.000 0.000
Zn2 0.000 0.028 0.376
Zn3 0.000 0.098 0.737
Zn4 0.000 0.103 0.117
Zn5 0.231 0.008 0.189
```

Nd2Zn: simulated XRD peak list (Cu Ka), based on a structure optimized by DFT (GGA-PBE).

Main lines, in order of rising 2θ (2θ = 5–70°):
two_theta  Rel. int.  (hkl)
17.03  38.8  1 1 1
27.99  10.4  2 2 0
32.95  100.0  3 1 1
34.46  64.7  2 2 2
40.00  18.2  4 0 0
43.77  10.6  3 3 1
52.76  34.7  5 1 1
57.86  33.6  4 4 0
68.21  11.8  5 3 3
69.11  25.6  6 2 2

Atomic structure:
a = 9.015 Å, b = 9.015 Å, c = 9.015 Å
α = 90.00°, β = 90.00°, γ = 90.00°
Space group Fd-3m (No. 227, origin choice 2)
Unique sites:
Nd  0.000  0.000  0.000
Zn  0.125  0.125  0.625